Entry 1:
This entry pairs a crystal structure of Tl2GeF6 with its computed X-ray diffraction stick pattern. Radiation: Cu Kα. Structure: DFT lattice parameters and positions (PBE).
Peak positions follow from Bragg's law for the DFT cell and can differ from measured ones.

Atomic structure:
```
data_Tl2GeF6
_chemical_formula_sum 'Tl2 Ge1 F6'
_cell_length_a 5.9638
_cell_length_b 5.9638
_cell_length_c 5.0179
_cell_angle_alpha 90.00
_cell_angle_beta 90.00
_cell_angle_gamma 120.00
_symmetry_space_group_name_H-M 'P -3 m 1'
_symmetry_Int_Tables_number 164
_symmetry_space_group_name_Hall '-P 3 2"'
loop_
_atom_site_label
_atom_site_type_symbol
_atom_site_fract_x
_atom_site_fract_y
_atom_site_fract_z
Tl1 Tl 0.3333 0.6667 0.3172
Ge1 Ge 0.0000 0.0000 0.0000
F1 F 0.1475 0.2950 0.7928
```

Peak list (12 most intense, 10 to 90 degrees two-theta, sorted by position)
(hkl)	two_theta	I/Imax
0 1 1	24.74	100.0
1 1 0	29.97	53.4
2 0 1	39.24	50.4
1 0 2	39.95	27.1
1 2 1	50.14	26.5
0 2 2	50.73	14.2
3 0 0	53.20	10.8
2 1 2	60.05	19.8
2 2 0	62.27	10.9
1 1 3	63.80	14.9
3 1 1	68.07	13.3
1 3 2	76.59	8.3

Entry 2:
This entry pairs a crystal structure of TlGeF3 with its computed X-ray diffraction stick pattern. Radiation: Cu Kα. Structure: DFT lattice parameters and positions (PBE).
Peak positions follow from Bragg's law for the DFT cell and can differ from measured ones.

Atomic structure:
```
data_TlGeF3
_chemical_formula_sum 'Tl2 Ge2 F6'
_cell_length_a 4.8720
_cell_length_b 6.0575
_cell_length_c 7.5374
_cell_angle_alpha 90.00
_cell_angle_beta 107.38
_cell_angle_gamma 90.00
_symmetry_space_group_name_H-M 'P 1 21/m 1'
_symmetry_Int_Tables_number 11
_symmetry_space_group_name_Hall '-P 2yb'
loop_
_atom_site_label
_atom_site_type_symbol
_atom_site_fract_x
_atom_site_fract_y
_atom_site_fract_z
Tl1 Tl 0.1529 0.2500 0.3087
Ge1 Ge 0.4507 0.2500 0.8469
F1 F 0.1764 0.7500 0.1765
F2 F 0.3282 0.0292 0.6641
```

Peak list (12 most intense, 10 to 90 degrees two-theta, sorted by position)
(hkl)	two_theta	I/Imax
0 1 1	19.15	36.3
1 1 0	24.13	65.4
1 1 -1	24.37	100.0
0 0 2	24.75	43.1
1 0 1	25.73	32.0
0 1 2	28.87	63.8
0 2 0	29.49	43.3
2 0 -1	36.91	36.7
0 2 2	38.88	30.3
1 2 1	39.53	41.7
1 2 -2	40.00	27.8
2 2 -1	47.93	20.9

Entry 3:
This entry pairs a crystal structure of GeXeF10 with its computed X-ray diffraction stick pattern. Radiation: Cu Kα. Structure: DFT lattice parameters and positions (PBE).
Peak positions follow from Bragg's law for the DFT cell and can differ from measured ones.

Atomic structure:
```
data_GeXeF10
_chemical_formula_sum 'Ge4 Xe4 F40'
_cell_length_a 13.4278
_cell_length_b 7.2525
_cell_length_c 7.5474
_cell_angle_alpha 90.00
_cell_angle_beta 90.00
_cell_angle_gamma 90.00
_symmetry_space_group_name_H-M 'P n m a'
_symmetry_Int_Tables_number 62
_symmetry_space_group_name_Hall '-P 2ac 2n'
loop_
_atom_site_label
_atom_site_type_symbol
_atom_site_fract_x
_atom_site_fract_y
_atom_site_fract_z
Ge1 Ge 0.0000 0.0000 0.0000
Xe1 Xe 0.1355 0.2500 0.3544
F1 F 0.0264 0.2500 0.5300
F2 F 0.0265 0.5634 0.7753
F3 F 0.0292 0.7500 0.0769
F4 F 0.1274 0.0639 0.0424
F5 F 0.1518 0.5183 0.3959
F6 F 0.2140 0.2500 0.5750
F7 F 0.2293 0.7500 0.7503
```

Peak list (12 most intense, 10 to 90 degrees two-theta, sorted by position)
(hkl)	two_theta	I/Imax
2 0 0	13.19	37.9
0 1 1	16.95	84.1
2 0 1	17.68	73.9
2 1 0	18.00	100.0
1 1 1	18.21	51.0
3 0 1	23.10	73.5
1 0 2	24.51	23.4
1 2 1	28.10	68.9
2 3 0	39.69	28.0
3 2 3	48.54	27.3
0 4 0	50.30	21.5
3 4 1	56.10	23.4

Entry 4:
This entry pairs a crystal structure of HF with its computed X-ray diffraction stick pattern. Radiation: Cu Kα. Structure: DFT lattice parameters and positions (PBE).
Peak positions follow from Bragg's law for the DFT cell and can differ from measured ones.

Atomic structure:
```
data_HF
_chemical_formula_sum 'H4 F4'
_cell_length_a 2.9974
_cell_length_b 4.4329
_cell_length_c 6.1960
_cell_angle_alpha 90.00
_cell_angle_beta 90.00
_cell_angle_gamma 90.00
_symmetry_space_group_name_H-M 'C m c m'
_symmetry_Int_Tables_number 63
_symmetry_space_group_name_Hall '-C 2c 2'
loop_
_atom_site_label
_atom_site_type_symbol
_atom_site_fract_x
_atom_site_fract_y
_atom_site_fract_z
H1 H 0.0000 0.0044 0.2500
F1 F 0.0000 0.2200 0.2500
```

Peak list (12 most intense, 10 to 90 degrees two-theta, sorted by position)
(hkl)	two_theta	I/Imax
0 0 2	28.82	77.4
1 1 1	39.08	100.0
0 2 0	40.71	16.8
0 2 1	43.36	5.0
0 2 2	50.64	15.7
1 1 3	58.09	23.2
0 0 4	59.69	5.9
2 0 0	61.91	5.1
2 0 2	69.70	6.2
1 3 1	73.00	6.8
2 2 2	83.97	4.7
1 1 5	88.11	5.6